Simulated powder diffractogram of Li4VCrW2O12 for λ = 1.5418 Å (Cu Kα), from DFT lattice parameters and positions (GGA+U).

```
Li4VCrW2O12
1.0
5.1363 0.0000 0.0000
0.0111 5.4209 0.0000
0.0069 0.5881 7.4364
Li V Cr W O
4 1 1 2 12
Direct
0.0000 0.0000 0.0000
0.0015 0.1675 0.5838
0.4890 0.5157 0.0039
0.5043 0.6418 0.5736
0.4956 0.0507 0.2750
0.9986 0.5897 0.7940
0.5071 0.0873 0.7768
0.9876 0.5571 0.2913
0.1157 0.6105 0.0507
0.1906 0.9087 0.7394
0.1953 0.2817 0.3520
0.3079 0.7909 0.3504
0.3164 0.3950 0.7395
0.3812 0.0965 0.0500
0.6181 0.0787 0.5377
0.6787 0.7806 0.8538
0.6883 0.3927 0.2298
0.7933 0.8979 0.2332
0.8079 0.2682 0.8485
0.8855 0.5774 0.5370
```

Largest 12 diffraction maxima, most intense first, 2θ = 5–70°:
| (hkl) | d_spacing | Rel. int. |
| --- | --- | --- |
| 0 0 2 | 3.721 | 100.0 |
| 1 1 2 | 2.704 | 36.6 |
| 1 0 1 | 4.223 | 36.5 |
| 2 0 0 | 2.564 | 24.6 |
| 0 1 1 | 4.545 | 15.5 |
| -1 1 4 | 1.700 | 12.9 |
| 1 1 4 | 1.702 | 12.5 |
| 2 -2 0 | 1.859 | 12.2 |
| 1 -2 1 | 2.231 | 11.8 |
| 2 -2 2 | 1.629 | 10.4 |
| 2 0 4 | 1.506 | 8.7 |
| -1 2 1 | 2.324 | 8.5 |